The following is a computed X-ray diffraction stick pattern of MgSc3Pb. It was derived from a structure optimized by DFT (PBE), using Cu Kα.
Peak positions follow from Bragg's law for the DFT cell and can differ from measured ones.

Main lines, in order of falling intensity (2θ = 5–70°):
29.73°, 3.005 Å, rel. 100.0, (1 1 1); 24.18°, 3.680 Å, rel. 84.9, (1 1 0); 34.47°, 2.602 Å, rel. 68.6, (2 0 0); 49.54°, 1.840 Å, rel. 48.0, (2 2 0); 17.04°, 5.204 Å, rel. 46.0, (1 0 0); 58.85°, 1.569 Å, rel. 41.8, (3 1 1); 42.55°, 2.125 Å, rel. 40.7, (2 1 1); 38.69°, 2.327 Å, rel. 27.7, (2 1 0)

Crystal structure
abc: 5.2043 5.2043 5.2043
angles: 90.00 90.00 90.00
Space group Pm-3m (No. 221)
Unique sites:
Mg: 0.0000 0.0000 0.0000 x1
Sc: 0.0000 0.0000 0.5000 x3
Pb: 0.5000 0.5000 0.5000 x1

The following is a computed X-ray diffraction stick pattern of K2LiAs2S6. It was derived from a structure optimized by DFT (PBE), using Cu Kα.
Peak positions follow from Bragg's law for the DFT cell and can differ from measured ones.

Main lines, in order of falling intensity (2θ = 5–70°):
15.59°, 5.682 Å, rel. 100.0, (1 1 0); 24.36°, 3.654 Å, rel. 87.7, (3 1 -1); 24.94°, 3.570 Å, rel. 84.8, (0 0 2); 38.28°, 2.352 Å, rel. 52.9, (3 1 -3); 31.83°, 2.811 Å, rel. 52.5, (2 2 -1); 13.96°, 6.343 Å, rel. 46.2, (2 0 0); 28.11°, 3.175 Å, rel. 37.4, (0 2 0); 12.40°, 7.140 Å, rel. 35.1, (0 0 1)

Crystal structure
abc: 13.7367 6.3557 7.7317
angles: 90.00 112.55 90.00
Space group C2/m (No. 12)
Unique sites:
K: 0.2189 0.0000 0.2087 x4
Li: 0.0000 0.0000 0.5000 x2
As: 0.0186 0.5000 0.1747 x4
S: 0.0705 0.2265 0.7911 x8
S: 0.1850 0.5000 0.3230 x4